No. 1
Structure and simulated powder diffractogram of Pr3SnSb2Rh9 (a cell relaxed with PBE; a wavelength of 1.5418 Å).

Principal peaks in the range 5 to 70 degrees two-theta, in order of rising 2θ:
2θ/deg, d [Å], I/Imax
9.51, 9.297, 49
26.80, 3.327, 31
32.53, 2.752, 43
36.70, 2.449, 100
38.74, 2.324, 26
42.86, 2.110, 28
46.02, 1.972, 30
55.22, 1.664, 27

Cell and atoms:
Unit cell a=6.6542 b=6.6542 c=9.2969 alpha=90.00 beta=90.00 gamma=120.00
Element x y z (fractional)
Pr: 0.0000 0.0000 0.0000
Pr: 0.3333 0.6667 0.7479
Pr: 0.6667 0.3333 0.2521
Sn: 0.0000 0.0000 0.5000
Sb: 0.3333 0.6667 0.1875
Sb: 0.6667 0.3333 0.8125
Rh: 0.0000 0.5000 0.0000
Rh: 0.1314 0.2627 0.2652
Rh: 0.1314 0.8686 0.2652
Rh: 0.2627 0.1314 0.7348
Rh: 0.5000 0.0000 0.0000
Rh: 0.5000 0.5000 0.0000
Rh: 0.7373 0.8686 0.2652
Rh: 0.8686 0.1314 0.7348
Rh: 0.8686 0.7373 0.7348

***

No. 2
Structure and simulated powder diffractogram of PrThSb2Rh5 (a cell relaxed with PBE; a wavelength of 1.5418 Å).

Principal peaks in the range 5 to 70 degrees two-theta, in order of rising 2θ:
2θ/deg, d [Å], I/Imax
28.10, 3.175, 37
34.51, 2.599, 100
36.16, 2.484, 27
39.87, 2.261, 74
41.47, 2.177, 25
54.91, 1.672, 16
57.66, 1.599, 25
68.96, 1.362, 26

Cell and atoms:
Unit cell a=4.5220 b=4.5220 c=8.9200 alpha=90.00 beta=90.00 gamma=90.00
Element x y z (fractional)
Pr: 0.0000 0.0000 0.0000
Th: 0.0000 0.0000 0.5000
Sb: 0.5000 0.5000 0.3418
Sb: 0.5000 0.5000 0.6582
Rh: 0.0000 0.5000 0.2190
Rh: 0.0000 0.5000 0.7810
Rh: 0.5000 0.0000 0.2190
Rh: 0.5000 0.0000 0.7810
Rh: 0.5000 0.5000 0.0000

***

No. 3
Structure and simulated powder diffractogram of Pr4Te2RhSe (a cell relaxed with PBE; a wavelength of 1.5418 Å).

Principal peaks in the range 5 to 70 degrees two-theta, in order of rising 2θ:
2θ/deg, d [Å], I/Imax
28.51, 3.131, 52
28.73, 3.107, 100
40.07, 2.250, 17
40.65, 2.220, 35
41.19, 2.192, 39
42.07, 2.148, 19
51.61, 1.771, 22
59.51, 1.553, 14

Cell and atoms:
Unit cell a=7.6461 b=4.2952 c=7.7801 alpha=90.00 beta=108.60 gamma=90.00
Element x y z (fractional)
Pr: 0.2236 0.0000 0.2126
Pr: 0.2506 0.5000 0.7754
Pr: 0.7494 0.5000 0.2246
Pr: 0.7764 0.0000 0.7874
Te: 0.0000 0.0000 0.5000
Te: 0.5000 0.5000 0.5000
Rh: 0.0000 0.5000 0.0000
Se: 0.5000 0.0000 0.0000

***

No. 4
Structure and simulated powder diffractogram of Pr2SiRh (a cell relaxed with PBE; a wavelength of 1.5418 Å).

Principal peaks in the range 5 to 70 degrees two-theta, in order of rising 2θ:
2θ/deg, d [Å], I/Imax
27.08, 3.293, 27
30.82, 2.901, 100
32.31, 2.771, 47
33.30, 2.690, 22
39.04, 2.307, 44
41.38, 2.182, 24
43.46, 2.082, 21
55.18, 1.665, 20

Cell and atoms:
Unit cell a=4.1643 b=4.3642 c=10.7608 alpha=90.00 beta=90.00 gamma=90.00
Element x y z (fractional)
Pr: 0.0000 0.0000 0.0000
Pr: 0.0000 0.5000 0.5000
Pr: 0.5000 0.0000 0.2826
Pr: 0.5000 0.5000 0.7826
Si: 0.0000 0.0000 0.7035
Si: 0.0000 0.5000 0.2035
Rh: 0.5000 0.0000 0.5691
Rh: 0.5000 0.5000 0.0691

***

No. 5
Structure and simulated powder diffractogram of Pr3Si4Rh7 (a cell relaxed with PBE; a wavelength of 1.5418 Å).

Principal peaks in the range 5 to 70 degrees two-theta, in order of rising 2θ:
2θ/deg, d [Å], I/Imax
35.71, 2.514, 100
36.03, 2.493, 28
36.49, 2.463, 65
38.09, 2.362, 22
43.04, 2.102, 34
44.44, 2.039, 43
59.90, 1.544, 20
63.58, 1.463, 21

Cell and atoms:
Unit cell a=8.0200 b=8.0200 c=9.4549 alpha=124.29 beta=124.29 gamma=29.45
Element x y z (fractional)
Pr: 0.0000 0.0000 0.0000
Pr: 0.3291 0.3291 0.3327
Pr: 0.6709 0.6709 0.6673
Si: 0.1147 0.1147 0.8389
Si: 0.3351 0.3351 0.7140
Si: 0.6649 0.6649 0.2860
Si: 0.8853 0.8853 0.1611
Rh: 0.0000 0.0000 0.5000
Rh: 0.1639 0.1639 0.4214
Rh: 0.3048 0.3048 0.9532
Rh: 0.4965 0.4965 0.7296
Rh: 0.5035 0.5035 0.2704
Rh: 0.6952 0.6952 0.0468
Rh: 0.8361 0.8361 0.5786

***

No. 6
Structure and simulated powder diffractogram of Pr4Si3Rh (a cell relaxed with PBE; a wavelength of 1.5418 Å).

Principal peaks in the range 5 to 70 degrees two-theta, in order of rising 2θ:
2θ/deg, d [Å], I/Imax
27.46, 3.248, 42
31.20, 2.867, 100
31.45, 2.844, 56
32.14, 2.785, 26
38.86, 2.318, 39
40.80, 2.212, 25
45.36, 1.999, 18
56.24, 1.636, 21

Cell and atoms:
Unit cell a=3.9989 b=4.4234 c=11.1404 alpha=90.00 beta=90.00 gamma=90.00
Element x y z (fractional)
Pr: 0.0000 0.0000 0.0000
Pr: 0.0000 0.5000 0.4923
Pr: 0.5000 0.0000 0.2779
Pr: 0.5000 0.5000 0.7802
Si: 0.0000 0.0000 0.7030
Si: 0.0000 0.5000 0.2023
Si: 0.5000 0.0000 0.5674
Rh: 0.5000 0.5000 0.0667

***

No. 7
Structure and simulated powder diffractogram of PrSi3Rh9 (a cell relaxed with PBE; a wavelength of 1.5418 Å).

Principal peaks in the range 5 to 70 degrees two-theta, in order of rising 2θ:
2θ/deg, d [Å], I/Imax
35.41, 2.535, 64
36.52, 2.460, 47
39.72, 2.270, 100
40.83, 2.210, 47
41.23, 2.189, 86
42.37, 2.133, 39
44.75, 2.025, 59
45.56, 1.991, 33

Cell and atoms:
Unit cell a=6.9141 b=6.9141 c=6.3066 alpha=96.71 beta=96.71 gamma=136.80
Element x y z (fractional)
Pr: 0.0000 0.0000 0.0000
Si: 0.0000 0.5000 0.0000
Si: 0.5000 0.0000 0.0000
Si: 0.5000 0.5000 0.5000
Rh: 0.0000 0.0000 0.5000
Rh: 0.0500 0.6868 0.6746
Rh: 0.2919 0.5187 0.7706
Rh: 0.3132 0.9500 0.3254
Rh: 0.4813 0.7081 0.2294
Rh: 0.5187 0.2919 0.7706
Rh: 0.6868 0.0500 0.6746
Rh: 0.7081 0.4813 0.2294
Rh: 0.9500 0.3132 0.3254

***

No. 8
Structure and simulated powder diffractogram of Pr2Si4Rh3 (a cell relaxed with PBE; a wavelength of 1.5418 Å).

Principal peaks in the range 5 to 70 degrees two-theta, in order of rising 2θ:
2θ/deg, d [Å], I/Imax
14.87, 5.957, 74
29.11, 3.068, 96
35.18, 2.551, 35
36.35, 2.472, 52
37.23, 2.415, 78
39.07, 2.306, 100
40.29, 2.238, 43
44.69, 2.028, 35

Cell and atoms:
Unit cell a=7.7408 b=6.5689 c=5.6654 alpha=78.12 beta=56.14 gamma=45.74
Element x y z (fractional)
Pr: 0.1358 0.1358 0.8642
Pr: 0.8642 0.8642 0.1358
Si: 0.1592 0.5250 0.4750
Si: 0.4750 0.8408 0.1592
Si: 0.5250 0.1592 0.8408
Si: 0.8408 0.4750 0.5250
Rh: 0.0000 0.0000 0.5000
Rh: 0.5000 0.5000 0.0000
Rh: 0.5000 0.5000 0.5000